Record 1
Diffraction record for LaGd3Cl4O4. The X-ray powder pattern is theoretical, not measured: it uses a DFT-relaxed cell (GGA-PBE, the Materials Project) and Cu Kα, 1.54184 Å.
Lines closer than 0.1° are merged.

```
data_LaGd3Cl4O4
_chemical_formula_sum 'La1 Gd3 Cl4 O4'
_cell_length_a 3.9860
_cell_length_b 7.9851
_cell_length_c 7.9851
_cell_angle_alpha 59.87
_cell_angle_beta 90.00
_cell_angle_gamma 90.00
_symmetry_space_group_name_H-M 'P 1'
_symmetry_Int_Tables_number 1
loop_
_symmetry_equiv_pos_as_xyz
'x,y,z'
loop_
_atom_site_label
_atom_site_fract_x
_atom_site_fract_y
_atom_site_fract_z
_atom_site_occupancy
La1 0.0000 0.0000 0.0000 1
Gd1 0.0000 0.4914 0.4914 1
Gd2 0.5000 0.0753 0.5758 1
Gd3 0.5000 0.5758 0.0753 1
Cl1 0.0000 0.2256 0.2256 1
Cl2 0.0000 0.7265 0.7265 1
Cl3 0.5000 0.3521 0.8370 1
Cl4 0.5000 0.8370 0.3521 1
O1 0.0000 0.1620 0.6539 1
O2 0.0000 0.6539 0.1620 1
O3 0.5000 0.4084 0.4084 1
O4 0.5000 0.9078 0.9078 1
```

Largest 10 diffraction maxima, in order of rising 2θ, 2θ = 10–90°:
2theta	intensity
12.79	41
25.79	91
31.75	65
34.32	100
41.32	22
45.52	34
51.18	22
53.06	27
58.18	36
58.23	20

=====

Record 2
Diffraction record for CsRb2AsF6. The X-ray powder pattern is theoretical, not measured: it uses a DFT-relaxed cell (GGA-PBE, the Materials Project) and Cu Kα, 1.54184 Å.
Lines closer than 0.1° are merged.

```
data_CsRb2AsF6
_chemical_formula_sum 'Cs1 Rb2 As1 F6'
_cell_length_a 6.8909
_cell_length_b 6.8909
_cell_length_c 6.8909
_cell_angle_alpha 60.00
_cell_angle_beta 60.00
_cell_angle_gamma 60.00
_symmetry_space_group_name_H-M 'P 1'
_symmetry_Int_Tables_number 1
loop_
_symmetry_equiv_pos_as_xyz
'x,y,z'
loop_
_atom_site_label
_atom_site_fract_x
_atom_site_fract_y
_atom_site_fract_z
_atom_site_occupancy
Cs1 0.0000 0.0000 0.0000 1
Rb1 0.2500 0.2500 0.2500 1
Rb2 0.7500 0.7500 0.7500 1
As1 0.5000 0.5000 0.5000 1
F1 0.2873 0.2873 0.7127 1
F2 0.2873 0.7127 0.2873 1
F3 0.2873 0.7127 0.7127 1
F4 0.7127 0.2873 0.2873 1
F5 0.7127 0.2873 0.7127 1
F6 0.7127 0.7127 0.2873 1
```

Largest 10 diffraction maxima, in order of rising 2θ, 2θ = 10–90°:
2theta	intensity
18.21	6
25.86	100
36.89	37
40.34	4
45.60	39
53.17	23
60.04	22
66.47	7
72.60	23
84.33	11

=====

Record 3
Diffraction record for Tb3SiBr3. The X-ray powder pattern is theoretical, not measured: it uses a DFT-relaxed cell (GGA-PBE, the Materials Project) and Cu Kα, 1.54184 Å.
Lines closer than 0.1° are merged.

```
data_Tb3SiBr3
_chemical_formula_sum 'Tb12 Si4 Br12'
_cell_length_a 10.1030
_cell_length_b 10.1030
_cell_length_c 10.1030
_cell_angle_alpha 109.47
_cell_angle_beta 109.47
_cell_angle_gamma 109.47
_symmetry_space_group_name_H-M 'P 1'
_symmetry_Int_Tables_number 1
loop_
_symmetry_equiv_pos_as_xyz
'x,y,z'
loop_
_atom_site_label
_atom_site_fract_x
_atom_site_fract_y
_atom_site_fract_z
_atom_site_occupancy
Tb1 0.0126 0.0252 0.2626 1
Tb2 0.0126 0.4874 0.7500 1
Tb3 0.0252 0.2626 0.0126 1
Tb4 0.2374 0.2626 0.7500 1
Tb5 0.2374 0.4748 0.4874 1
Tb6 0.2626 0.0126 0.0252 1
Tb7 0.2626 0.7500 0.2374 1
Tb8 0.4748 0.4874 0.2374 1
Tb9 0.4874 0.2374 0.4748 1
Tb10 0.4874 0.7500 0.0126 1
Tb11 0.7500 0.0126 0.4874 1
Tb12 0.7500 0.2374 0.2626 1
Si1 0.0000 0.2500 0.5000 1
Si2 0.2500 0.2500 0.2500 1
Si3 0.2500 0.5000 0.0000 1
Si4 0.5000 0.0000 0.2500 1
Br1 0.2500 0.7546 0.7454 1
Br2 0.2500 0.9954 0.5046 1
Br3 0.5046 0.2500 0.9954 1
Br4 0.5046 0.7546 0.5093 1
Br5 0.5093 0.5046 0.7546 1
Br6 0.7454 0.2500 0.7546 1
Br7 0.7454 0.9954 0.9907 1
Br8 0.7546 0.5093 0.5046 1
Br9 0.7546 0.7454 0.2500 1
Br10 0.9907 0.7454 0.9954 1
Br11 0.9954 0.5046 0.2500 1
Br12 0.9954 0.9907 0.7454 1
```

Largest 10 diffraction maxima, in order of rising 2θ, 2θ = 10–90°:
2theta	intensity
10.72	22
18.63	13
28.63	32
30.65	100
36.11	17
43.90	71
54.50	24
58.10	13
72.47	28
80.70	20

=====

Record 4
Diffraction record for Pr2InCuS5. The X-ray powder pattern is theoretical, not measured: it uses a DFT-relaxed cell (GGA-PBE, the Materials Project) and Cu Kα, 1.54184 Å.
Lines closer than 0.1° are merged.

```
data_Pr2InCuS5
_chemical_formula_sum 'Pr8 In4 Cu4 S20'
_cell_length_a 11.5703
_cell_length_b 3.9300
_cell_length_c 16.7956
_cell_angle_alpha 90.00
_cell_angle_beta 90.00
_cell_angle_gamma 90.00
_symmetry_space_group_name_H-M 'P 1'
_symmetry_Int_Tables_number 1
loop_
_symmetry_equiv_pos_as_xyz
'x,y,z'
loop_
_atom_site_label
_atom_site_fract_x
_atom_site_fract_y
_atom_site_fract_z
_atom_site_occupancy
Pr1 0.0221 0.2500 0.1791 1
Pr2 0.1347 0.7500 0.5934 1
Pr3 0.3653 0.2500 0.0934 1
Pr4 0.4779 0.7500 0.6791 1
Pr5 0.5221 0.2500 0.3209 1
Pr6 0.6347 0.7500 0.9066 1
Pr7 0.8653 0.2500 0.4066 1
Pr8 0.9779 0.7500 0.8209 1
In1 0.1965 0.7500 0.3592 1
In2 0.3035 0.2500 0.8592 1
In3 0.6965 0.7500 0.1408 1
In4 0.8035 0.2500 0.6408 1
Cu1 0.0871 0.7500 0.9980 1
Cu2 0.4129 0.2500 0.4980 1
Cu3 0.5871 0.7500 0.5020 1
Cu4 0.9129 0.2500 0.0020 1
S1 0.0119 0.2500 0.6940 1
S2 0.0987 0.2500 0.9242 1
S3 0.1128 0.2500 0.4622 1
S4 0.1833 0.7500 0.1153 1
S5 0.2365 0.7500 0.7697 1
S6 0.2635 0.2500 0.2697 1
S7 0.3167 0.2500 0.6153 1
S8 0.3872 0.7500 0.9622 1
S9 0.4013 0.7500 0.4242 1
S10 0.4881 0.7500 0.1940 1
S11 0.5119 0.2500 0.8060 1
S12 0.5987 0.2500 0.5758 1
S13 0.6128 0.2500 0.0378 1
S14 0.6833 0.7500 0.3847 1
S15 0.7365 0.7500 0.7303 1
S16 0.7635 0.2500 0.2303 1
S17 0.8167 0.2500 0.8847 1
S18 0.8872 0.7500 0.5378 1
S19 0.9013 0.7500 0.0758 1
S20 0.9881 0.7500 0.3060 1
```

Largest 10 diffraction maxima, in order of rising 2θ, 2θ = 10–90°:
2theta	intensity
23.67	40
27.44	32
27.65	32
28.81	35
32.14	100
32.75	39
34.28	29
38.54	29
46.20	44
46.83	33

=====

Record 5
Diffraction record for H2PdS4O14. The X-ray powder pattern is theoretical, not measured: it uses a DFT-relaxed cell (GGA-PBE, the Materials Project) and Cu Kα, 1.54184 Å.
Lines closer than 0.1° are merged.

```
data_H2PdS4O14
_chemical_formula_sum 'H4 Pd2 S8 O28'
_cell_length_a 9.5508
_cell_length_b 7.0137
_cell_length_c 9.5252
_cell_angle_alpha 90.00
_cell_angle_beta 117.98
_cell_angle_gamma 90.00
_symmetry_space_group_name_H-M 'P 1'
_symmetry_Int_Tables_number 1
loop_
_symmetry_equiv_pos_as_xyz
'x,y,z'
loop_
_atom_site_label
_atom_site_fract_x
_atom_site_fract_y
_atom_site_fract_z
_atom_site_occupancy
H1 0.0376 0.2094 0.4419 1
H2 0.0376 0.2906 0.9419 1
H3 0.9624 0.7094 0.0581 1
H4 0.9624 0.7906 0.5581 1
Pd1 0.5000 0.0000 0.0000 1
Pd2 0.5000 0.5000 0.5000 1
S1 0.2284 0.1383 0.3912 1
S2 0.2284 0.3617 0.8912 1
S3 0.3003 0.6777 0.1158 1
S4 0.3003 0.8223 0.6158 1
S5 0.6997 0.1777 0.3842 1
S6 0.6997 0.3223 0.8842 1
S7 0.7716 0.6383 0.1088 1
S8 0.7716 0.8617 0.6088 1
O1 0.1211 0.0216 0.2629 1
O2 0.1211 0.4784 0.7629 1
O3 0.1437 0.6323 0.0934 1
O4 0.1437 0.8677 0.5934 1
O5 0.1456 0.2406 0.9664 1
O6 0.1456 0.2594 0.4664 1
O7 0.3066 0.6563 0.5262 1
O8 0.3066 0.8437 0.0262 1
O9 0.3323 0.2346 0.8630 1
O10 0.3323 0.2654 0.3630 1
O11 0.3531 0.0096 0.5366 1
O12 0.3531 0.4904 0.0366 1
O13 0.4301 0.6717 0.2780 1
O14 0.4301 0.8283 0.7780 1
O15 0.5699 0.1717 0.2220 1
O16 0.5699 0.3283 0.7220 1
O17 0.6469 0.5096 0.9634 1
O18 0.6469 0.9904 0.4634 1
O19 0.6677 0.7346 0.6370 1
O20 0.6677 0.7654 0.1370 1
O21 0.6934 0.1563 0.9738 1
O22 0.6934 0.3437 0.4738 1
O23 0.8544 0.7406 0.5336 1
O24 0.8544 0.7594 0.0336 1
O25 0.8563 0.1323 0.4066 1
O26 0.8563 0.3677 0.9066 1
O27 0.8789 0.5216 0.2371 1
O28 0.8789 0.9784 0.7371 1
```

Largest 10 diffraction maxima, in order of rising 2θ, 2θ = 10–90°:
2theta	intensity
10.49	99
16.65	41
21.12	40
22.09	30
22.54	100
24.67	67
27.55	27
31.19	24
31.69	27
33.23	25

=====

Record 6
Diffraction record for HfMg14Cr. The X-ray powder pattern is theoretical, not measured: it uses a DFT-relaxed cell (GGA-PBE, the Materials Project) and Cu Kα, 1.54184 Å.
Lines closer than 0.1° are merged.

```
data_HfMg14Cr
_chemical_formula_sum 'Hf1 Mg14 Cr1'
_cell_length_a 6.3468
_cell_length_b 6.3468
_cell_length_c 10.1504
_cell_angle_alpha 90.00
_cell_angle_beta 90.00
_cell_angle_gamma 120.00
_symmetry_space_group_name_H-M 'P 1'
_symmetry_Int_Tables_number 1
loop_
_symmetry_equiv_pos_as_xyz
'x,y,z'
loop_
_atom_site_label
_atom_site_fract_x
_atom_site_fract_y
_atom_site_fract_z
_atom_site_occupancy
Hf1 0.0000 0.0000 0.0000 1
Mg1 0.0000 0.5000 0.5000 1
Mg2 0.0054 0.5027 0.0000 1
Mg3 0.1628 0.3256 0.2514 1
Mg4 0.1628 0.3256 0.7486 1
Mg5 0.1628 0.8372 0.2514 1
Mg6 0.1628 0.8372 0.7486 1
Mg7 0.4973 0.5027 0.0000 1
Mg8 0.4973 0.9946 0.0000 1
Mg9 0.5000 0.0000 0.5000 1
Mg10 0.5000 0.5000 0.5000 1
Mg11 0.6667 0.3333 0.2476 1
Mg12 0.6667 0.3333 0.7524 1
Mg13 0.6744 0.8372 0.2514 1
Mg14 0.6744 0.8372 0.7486 1
Cr1 0.0000 0.0000 0.5000 1
```

Largest 10 diffraction maxima, in order of rising 2θ, 2θ = 10–90°:
2theta	intensity
16.13	48
18.36	30
23.86	35
32.58	30
35.37	25
37.21	100
48.85	19
58.14	17
64.70	19
69.92	19

=====

Record 7
Diffraction record for Ba3Li. The X-ray powder pattern is theoretical, not measured: it uses a DFT-relaxed cell (GGA-PBE, the Materials Project) and Cu Kα, 1.54184 Å.
Lines closer than 0.1° are merged.

```
data_Ba3Li
_chemical_formula_sum 'Ba6 Li2'
_cell_length_a 5.8143
_cell_length_b 5.8143
_cell_length_c 12.9919
_cell_angle_alpha 90.00
_cell_angle_beta 90.00
_cell_angle_gamma 90.00
_symmetry_space_group_name_H-M 'P 1'
_symmetry_Int_Tables_number 1
loop_
_symmetry_equiv_pos_as_xyz
'x,y,z'
loop_
_atom_site_label
_atom_site_fract_x
_atom_site_fract_y
_atom_site_fract_z
_atom_site_occupancy
Ba1 0.0000 0.0000 0.0000 1
Ba2 0.0000 0.5000 0.2500 1
Ba3 0.0000 0.5000 0.7500 1
Ba4 0.5000 0.0000 0.2500 1
Ba5 0.5000 0.0000 0.7500 1
Ba6 0.5000 0.5000 0.5000 1
Li1 0.0000 0.0000 0.5000 1
Li2 0.5000 0.5000 0.0000 1
```

Largest 10 diffraction maxima, in order of rising 2θ, 2θ = 10–90°:
2theta	intensity
16.71	25
25.64	100
27.46	19
30.76	29
35.20	12
41.70	25
47.45	19
51.67	29
52.70	14
66.74	14

=====

Record 8
Diffraction record for LaNb2CuClO7. The X-ray powder pattern is theoretical, not measured: it uses a DFT-relaxed cell (GGA-PBE, the Materials Project) and Cu Kα, 1.54184 Å.
Lines closer than 0.1° are merged.

```
data_LaNb2CuClO7
_chemical_formula_sum 'La4 Nb8 Cu4 Cl4 O28'
_cell_length_a 7.8904
_cell_length_b 7.9024
_cell_length_c 11.8353
_cell_angle_alpha 90.00
_cell_angle_beta 90.00
_cell_angle_gamma 90.00
_symmetry_space_group_name_H-M 'P 1'
_symmetry_Int_Tables_number 1
loop_
_symmetry_equiv_pos_as_xyz
'x,y,z'
loop_
_atom_site_label
_atom_site_fract_x
_atom_site_fract_y
_atom_site_fract_z
_atom_site_occupancy
La1 0.0000 0.2376 0.0000 1
La2 0.0000 0.7624 0.0000 1
La3 0.5000 0.2624 0.0000 1
La4 0.5000 0.7376 0.0000 1
Nb1 0.2480 0.5000 0.1905 1
Nb2 0.2480 0.5000 0.8095 1
Nb3 0.2520 0.0000 0.1905 1
Nb4 0.2520 0.0000 0.8095 1
Nb5 0.7480 0.0000 0.1905 1
Nb6 0.7480 0.0000 0.8095 1
Nb7 0.7520 0.5000 0.1905 1
Nb8 0.7520 0.5000 0.8095 1
Cu1 0.2292 0.4925 0.5000 1
Cu2 0.2708 0.9925 0.5000 1
Cu3 0.7292 0.0075 0.5000 1
Cu4 0.7708 0.5075 0.5000 1
Cl1 0.0837 0.2290 0.5000 1
Cl2 0.4163 0.7290 0.5000 1
Cl3 0.5837 0.2710 0.5000 1
Cl4 0.9163 0.7710 0.5000 1
O1 0.0000 0.0000 0.1839 1
O2 0.0000 0.0000 0.8161 1
O3 0.0000 0.5000 0.1340 1
O4 0.0000 0.5000 0.8660 1
O5 0.1995 0.9999 0.0000 1
O6 0.2180 0.4991 0.3420 1
O7 0.2180 0.4991 0.6580 1
O8 0.2502 0.2499 0.1524 1
O9 0.2502 0.2499 0.8476 1
O10 0.2498 0.7499 0.1524 1
O11 0.2498 0.7499 0.8476 1
O12 0.2820 0.9991 0.3420 1
O13 0.2820 0.9991 0.6580 1
O14 0.3005 0.4999 0.0000 1
O15 0.5000 0.0000 0.1340 1
O16 0.5000 0.0000 0.8660 1
O17 0.5000 0.5000 0.1839 1
O18 0.5000 0.5000 0.8161 1
O19 0.6995 0.5001 0.0000 1
O20 0.7180 0.0009 0.3420 1
O21 0.7180 0.0009 0.6580 1
O22 0.7502 0.2501 0.1524 1
O23 0.7502 0.2501 0.8476 1
O24 0.7498 0.7501 0.1524 1
O25 0.7498 0.7501 0.8476 1
O26 0.7820 0.5009 0.3420 1
O27 0.7820 0.5009 0.6580 1
O28 0.8005 0.0001 0.0000 1
```

Largest 10 diffraction maxima, in order of rising 2θ, 2θ = 10–90°:
2theta	intensity
22.53	26
23.76	15
27.15	51
32.07	100
44.62	17
45.98	37
50.55	9
54.21	12
57.16	38
67.06	17

=====

Record 9
Diffraction record for Sm2ZrFe16. The X-ray powder pattern is theoretical, not measured: it uses a DFT-relaxed cell (GGA-PBE, the Materials Project) and Cu Kα, 1.54184 Å.
Lines closer than 0.1° are merged.

```
data_Sm2ZrFe16
_chemical_formula_sum 'Sm2 Zr1 Fe16'
_cell_length_a 6.5050
_cell_length_b 6.5050
_cell_length_c 6.5050
_cell_angle_alpha 83.26
_cell_angle_beta 83.26
_cell_angle_gamma 83.26
_symmetry_space_group_name_H-M 'P 1'
_symmetry_Int_Tables_number 1
loop_
_symmetry_equiv_pos_as_xyz
'x,y,z'
loop_
_atom_site_label
_atom_site_fract_x
_atom_site_fract_y
_atom_site_fract_z
_atom_site_occupancy
Sm1 0.0000 0.0000 0.0000 1
Sm2 0.3070 0.3070 0.3070 1
Zr1 0.5639 0.5639 0.5639 1
Fe1 0.1487 0.6626 0.6626 1
Fe2 0.3132 0.3132 0.8230 1
Fe3 0.3132 0.8230 0.3132 1
Fe4 0.3578 0.6593 0.9616 1
Fe5 0.3578 0.9616 0.6593 1
Fe6 0.5020 0.9987 0.9987 1
Fe7 0.6593 0.3578 0.9616 1
Fe8 0.6593 0.9616 0.3578 1
Fe9 0.6626 0.1487 0.6626 1
Fe10 0.6626 0.6626 0.1487 1
Fe11 0.7645 0.7645 0.7645 1
Fe12 0.8230 0.3132 0.3132 1
Fe13 0.9616 0.3578 0.6593 1
Fe14 0.9616 0.6593 0.3578 1
Fe15 0.9987 0.5020 0.9987 1
Fe16 0.9987 0.9987 0.5020 1
```

Largest 10 diffraction maxima, in order of rising 2θ, 2θ = 10–90°:
2theta	intensity
29.76	32
36.00	50
37.46	29
41.81	64
42.20	100
43.10	23
43.37	28
47.38	24
68.97	17
76.34	20

=====

Record 10
Diffraction record for AlTlCl4. The X-ray powder pattern is theoretical, not measured: it uses a DFT-relaxed cell (GGA-PBE, the Materials Project) and Cu Kα, 1.54184 Å.
Lines closer than 0.1° are merged.

```
data_AlTlCl4
_chemical_formula_sum 'Al4 Tl4 Cl16'
_cell_length_a 11.0963
_cell_length_b 7.2116
_cell_length_c 9.4778
_cell_angle_alpha 90.00
_cell_angle_beta 90.00
_cell_angle_gamma 90.00
_symmetry_space_group_name_H-M 'P 1'
_symmetry_Int_Tables_number 1
loop_
_symmetry_equiv_pos_as_xyz
'x,y,z'
loop_
_atom_site_label
_atom_site_fract_x
_atom_site_fract_y
_atom_site_fract_z
_atom_site_occupancy
Al1 0.0655 0.2500 0.1873 1
Al2 0.4345 0.7500 0.6873 1
Al3 0.5655 0.2500 0.3127 1
Al4 0.9345 0.7500 0.8127 1
Tl1 0.1860 0.2500 0.6843 1
Tl2 0.3140 0.7500 0.1843 1
Tl3 0.6860 0.2500 0.8157 1
Tl4 0.8140 0.7500 0.3157 1
Cl1 0.0753 0.0065 0.3211 1
Cl2 0.0753 0.4935 0.3211 1
Cl3 0.1023 0.7500 0.9253 1
Cl4 0.2186 0.2500 0.0476 1
Cl5 0.2814 0.7500 0.5476 1
Cl6 0.3977 0.2500 0.4253 1
Cl7 0.4247 0.5065 0.8211 1
Cl8 0.4247 0.9935 0.8211 1
Cl9 0.5753 0.0065 0.1789 1
Cl10 0.5753 0.4935 0.1789 1
Cl11 0.6023 0.7500 0.5747 1
Cl12 0.7186 0.2500 0.4524 1
Cl13 0.7814 0.7500 0.9524 1
Cl14 0.8977 0.2500 0.0747 1
Cl15 0.9247 0.5065 0.6789 1
Cl16 0.9247 0.9935 0.6789 1
```

Largest 10 diffraction maxima, in order of rising 2θ, 2θ = 10–90°:
2theta	intensity
15.44	87
20.19	67
22.29	100
23.86	45
24.69	53
27.67	50
31.05	71
31.96	69
32.22	60
33.66	58